[1]
Structure and simulated powder XRD pattern of PrSm4Er7 (DFT lattice parameters and positions (PBE); Cu Kα (λ = 1.5418 Å)).

a b c (Å): 6.559 6.835 9.025
angles (deg): 84.58 76.95 81.24
Space group P-1 (No. 2)
Symmetry-distinct sites (fractional):
Pr1 0.000 0.000 0.000 (multiplicity 1)
Sm1 0.167 0.612 0.311 (multiplicity 2)
Sm2 0.362 0.195 0.712 (multiplicity 2)
Er1 0.000 0.500 0.000 (multiplicity 1)
Er2 0.188 0.104 0.385 (multiplicity 2)
Er3 0.319 0.703 0.644 (multiplicity 2)
Er4 0.484 0.251 0.049 (multiplicity 2)

The 10 most intense peaks (5 to 70 degrees two-theta), by angle:
| two_theta | I (rel.) | hkl |
| --- | --- | --- |
| 30.56 | 332 | 0 0 3 |
| 31.08 | 361 | 2 0 2 |
| 31.69 | 1000 | 1 -2 0 |
| 32.06 | 774 | 2 0 -1 |
| 32.60 | 119 | 0 1 3 |
| 35.13 | 96 | 1 -1 3 |
| 43.59 | 111 | 1 -2 3 |
| 45.64 | 112 | -1 2 3 |
| 46.31 | 122 | 3 2 1 |
| 56.85 | 156 | 3 2 -2 |

=====

[2]
Structure and simulated powder XRD pattern of Pr7SmEr12 (DFT lattice parameters and positions (PBE); Cu Kα (λ = 1.5418 Å)).

a b c (Å): 12.0004 12.0004 16.2601
angles (deg): 90.00 90.00 120.00
Space group R-3 (No. 148, hexagonal axes)
Symmetry-distinct sites (fractional):
Pr1 0.0000 0.0000 0.0000 (multiplicity 3)
Pr2 0.0531 0.1871 0.2891 (multiplicity 18)
Sm1 0.0000 0.0000 0.5000 (multiplicity 3)
Er1 0.0228 0.4468 0.2209 (multiplicity 18)
Er2 0.0514 0.5866 0.5833 (multiplicity 18)

The 10 most intense peaks (5 to 70 degrees two-theta), by angle:
| two_theta | I (rel.) | hkl |
| --- | --- | --- |
| 28.77 | 255 | 0 1 5 |
| 30.63 | 377 | 0 3 3 |
| 31.52 | 1000 | 4 -3 1 |
| 31.68 | 480 | 3 -1 4 |
| 32.48 | 224 | 2 0 5 |
| 32.98 | 584 | 3 1 2 |
| 36.37 | 180 | 2 -1 6 |
| 41.88 | 144 | 3 1 5 |
| 55.20 | 253 | 2 5 0 |
| 58.56 | 164 | 7 -6 1 |

=====

[3]
Structure and simulated powder XRD pattern of Pr3Sm8Er2 (DFT lattice parameters and positions (PBE); Cu Kα (λ = 1.5418 Å)).

a b c (Å): 13.219 11.823 6.217
angles (deg): 90.00 113.37 90.00
Space group C2/m (No. 12)
Symmetry-distinct sites (fractional):
Pr1 0.000 0.000 0.000 (multiplicity 2)
Pr2 0.000 0.242 0.500 (multiplicity 4)
Sm1 0.056 0.500 0.284 (multiplicity 4)
Sm2 0.157 0.000 0.550 (multiplicity 4)
Sm3 0.175 0.257 0.176 (multiplicity 8)
Er1 0.211 0.500 0.857 (multiplicity 4)

The 10 most intense peaks (5 to 70 degrees two-theta), by angle:
| two_theta | I (rel.) | hkl |
| --- | --- | --- |
| 25.32 | 166 | 2 0 1 |
| 29.55 | 270 | 2 2 1 |
| 30.16 | 343 | 1 1 -2 |
| 30.24 | 573 | 0 4 0 |
| 31.26 | 1000 | 4 2 -1 |
| 32.67 | 544 | 3 1 1 |
| 37.19 | 190 | 1 3 -2 |
| 39.34 | 173 | 3 3 1 |
| 50.40 | 115 | 3 5 1 |
| 54.37 | 259 | 4 6 -1 |

=====

[4]
Structure and simulated powder XRD pattern of PrSm3Er5 (DFT lattice parameters and positions (PBE); Cu Kα (λ = 1.5418 Å)).

a b c (Å): 19.260 6.007 11.409
angles (deg): 90.00 113.36 90.00
Space group C2/c (No. 15)
Symmetry-distinct sites (fractional):
Pr1 0.000 0.092 0.250 (multiplicity 4)
Sm1 0.000 0.000 0.000 (multiplicity 4)
Sm2 0.180 0.233 0.363 (multiplicity 8)
Er1 0.000 0.414 0.750 (multiplicity 4)
Er2 0.161 0.257 0.696 (multiplicity 8)
Er3 0.171 0.253 0.031 (multiplicity 8)

The 10 most intense peaks (5 to 70 degrees two-theta), by angle:
| two_theta | I (rel.) | hkl |
| --- | --- | --- |
| 28.23 | 338 | 1 1 -3 |
| 29.74 | 146 | 0 2 0 |
| 30.33 | 583 | 6 0 0 |
| 31.48 | 461 | 2 2 0 |
| 31.72 | 1000 | 1 1 3 |
| 36.16 | 176 | 4 2 0 |
| 37.83 | 215 | 3 1 3 |
| 54.05 | 201 | 1 3 3 |
| 54.77 | 174 | 7 1 3 |
| 66.27 | 110 | 2 2 6 |